No. 1
The following is a simulated XRD peak list of PuSi4Ni4. It was derived from a cell relaxed with PBE, using Cu Kα X-rays.

The 10 most intense peaks (10° ≤ 2θ ≤ 90°), sorted by position:
2θ (°)	d/Å	I/Imax
15.97	5.550	24
23.48	3.789	76
32.26	2.775	41
32.86	2.726	100
36.19	2.482	79
41.75	2.163	32
46.71	1.945	33
52.52	1.742	38
56.42	1.631	43
62.99	1.476	25

Structure:
```
PuSi4Ni4
1.0
-3.924 3.924 2.163
3.924 -3.924 2.163
3.924 3.924 -2.163
Pu Si Ni
1 4 4
direct
0.000 0.000 0.000
0.118 0.612 0.730
0.388 0.118 0.505
0.612 0.882 0.495
0.882 0.388 0.270
0.188 0.327 0.515
0.327 0.812 0.139
0.673 0.188 0.861
0.812 0.673 0.485
```

No. 2
The following is a simulated XRD peak list of HfB2O5. It was derived from a cell relaxed with PBE, using Cu Kα X-rays.

The 10 most intense peaks (10° ≤ 2θ ≤ 90°), sorted by position:
2θ (°)	d/Å	I/Imax
16.10	5.506	68
19.66	4.516	50
20.11	4.415	100
23.50	3.786	55
27.51	3.242	75
30.99	2.886	39
34.26	2.618	69
34.38	2.609	67
38.28	2.351	39
38.61	2.332	41

Structure:
```
HfB2O5
1.0
4.415 0.000 0.000
0.000 6.947 0.000
-0.091 0.000 9.031
Hf B O
4 8 20
direct
0.000 0.112 0.170
0.000 0.388 0.670
0.000 0.612 0.330
0.000 0.888 0.830
0.466 0.087 0.667
0.466 0.413 0.167
0.472 0.729 0.576
0.472 0.771 0.076
0.528 0.229 0.924
0.528 0.271 0.424
0.534 0.587 0.833
0.534 0.913 0.333
0.212 0.590 0.820
0.212 0.910 0.320
0.229 0.598 0.532
0.229 0.902 0.032
0.306 0.155 0.809
0.306 0.345 0.309
0.330 0.604 0.151
0.330 0.896 0.651
0.349 0.223 0.556
0.349 0.277 0.056
0.651 0.723 0.944
0.651 0.777 0.444
0.670 0.104 0.349
0.670 0.396 0.849
0.694 0.655 0.691
0.694 0.845 0.191
0.771 0.098 0.968
0.771 0.402 0.468
0.788 0.090 0.680
0.788 0.410 0.180
```

No. 3
The following is a simulated XRD peak list of B2C3. It was derived from a cell relaxed with PBE, using Cu Kα X-rays.

The 10 most intense peaks (10° ≤ 2θ ≤ 90°), sorted by position:
2θ (°)	d/Å	I/Imax
15.74	5.629	4
23.71	3.753	6
40.04	2.252	29
42.68	2.118	100
69.86	1.346	23
73.53	1.288	25
77.88	1.227	3
83.69	1.156	9
87.19	1.118	11
88.94	1.100	9

Structure:
```
B2C3
1.0
1.288 0.744 11.258
-1.288 0.744 11.258
0.000 -1.487 11.258
B C
4 6
direct
0.000 0.000 0.000
0.193 0.193 0.193
0.399 0.399 0.399
0.637 0.637 0.637
0.046 0.046 0.046
0.243 0.243 0.243
0.448 0.448 0.448
0.590 0.590 0.590
0.796 0.796 0.796
0.842 0.842 0.842
```